This entry pairs a crystal structure of LiNdS2 with its computed powder X-ray diffraction pattern. Radiation: λ = 1.5418 Å (Cu Kα). Structure: DFT lattice parameters and positions (PBE).
Neutral-atom scattering factors, no anomalous dispersion.

Crystal structure
Cell: 4.0524 4.0524 5.5080 Å, 90.00 90.00 90.00°
Positions (direct):
Li  0.0000  0.0000  0.0000
Nd  0.5000  0.5000  0.5000
S  0.0000  0.0000  0.5000
S  0.5000  0.5000  0.0000

Peak list (10 most intense, 10° ≤ 2θ ≤ 90°, by angle)
hkl 0 0 1, 16.1 deg, intensity 100.0; hkl 1 0 0, 21.9 deg, intensity 97.9; hkl 1 0 1, 27.3 deg, intensity 38.3; hkl 1 1 0, 31.2 deg, intensity 98.3; hkl 0 0 2, 32.5 deg, intensity 43.9; hkl 1 1 1, 35.3 deg, intensity 58.3; hkl 1 0 2, 39.6 deg, intensity 42.6; hkl 2 0 0, 44.7 deg, intensity 35.0; hkl 1 1 2, 45.7 deg, intensity 65.6; hkl 2 0 2, 56.4 deg, intensity 34.6